UCu3Ge2: computed powder diffraction line list (Cu Kα, 1.54184 Å), based on a structure optimized by DFT (GGA-PBE).
No peak broadening, texture or thermal motion is included.

Most intense lines, 2θ = 15–90°, low angle first:
two_theta  intensity
28.5  29.3
29.0  21.4
29.9  34.2
33.9  48.1
36.5  100.0
38.2  19.9
39.7  67.7
45.4  26.2
45.5  43.1
49.2  25.7

```
UCu3Ge2
1.0
7.547 -1.992 0.000
7.547 1.992 0.000
-3.185 0.000 6.510
U Cu Ge
2 6 4
direct
0.145 0.145 0.063
0.855 0.855 0.937
0.043 0.043 0.389
0.310 0.310 0.541
0.402 0.402 0.322
0.598 0.598 0.678
0.690 0.690 0.459
0.957 0.957 0.611
0.200 0.200 0.710
0.479 0.479 0.816
0.521 0.521 0.184
0.800 0.800 0.290
```